This entry pairs a crystal structure of Sr4Re2NiO12 with its theoretical powder diffraction line list. Radiation: Cu Ka. Structure: a structure optimized by DFT (GGA+U).

Atomic structure:
```
Sr4Re2NiO12
1.0
2.796 1.614 9.044
-2.796 1.614 9.044
0.000 -3.228 9.044
Sr Re Ni O
4 2 1 12
direct
0.133 0.133 0.133
0.292 0.292 0.292
0.708 0.708 0.708
0.867 0.867 0.867
0.420 0.420 0.420
0.580 0.580 0.580
0.000 0.000 0.000
0.131 0.619 0.619
0.217 0.217 0.696
0.217 0.696 0.217
0.304 0.783 0.783
0.381 0.381 0.869
0.381 0.869 0.381
0.619 0.131 0.619
0.619 0.619 0.131
0.696 0.217 0.217
0.783 0.304 0.783
0.783 0.783 0.304
0.869 0.381 0.381
```

Largest 6 diffraction maxima, in order of rising 2θ, 2θ from 10° to 90°:
2theta, I_rel
18.61, 28
29.52, 100
32.02, 90
44.10, 57
55.53, 34
66.94, 18